(1)
Simulated powder X-ray diffraction pattern of Mn2OF3 for Cu Kα (weighted mean of Kα1 and Kα2), from a GGA+U-relaxed structure.
Lines closer than 0.1° are merged.

Cell and atoms:
abc: 5.8131 5.8131 4.8517
angles: 93.02 93.02 66.65
Positions (direct):
Mn1 0.0000 0.0000 0.0000
Mn2 0.0000 0.5000 0.5000
Mn3 0.5000 0.0000 0.5000
Mn4 0.5000 0.5000 0.0000
O1 0.1569 0.1569 0.3082
O2 0.8431 0.8431 0.6918
F1 0.1494 0.6534 0.1979
F2 0.3466 0.8506 0.8021
F3 0.3492 0.3492 0.6931
F4 0.6508 0.6508 0.3069
F5 0.6534 0.1494 0.1979
F6 0.8506 0.3466 0.8021

Largest 8 diffraction maxima, by angle, 5° ≤ 2θ ≤ 70°:
Position (°2θ)	I (rel.)
25.2	100
26.8	94
33.6	98
50.0	68
51.7	21
51.9	59
64.6	24
64.7	36

=====

(2)
Simulated powder X-ray diffraction pattern of Li3Al2VO6 for Cu Kα (weighted mean of Kα1 and Kα2), from a GGA+U-relaxed structure.
Lines closer than 0.1° are merged.

Cell and atoms:
abc: 5.0068 5.0068 5.1163
angles: 99.61 99.61 119.80
Positions (direct):
Li1 0.0000 0.0000 0.0000
Li2 0.3308 0.6692 0.0000
Li3 0.6692 0.3308 0.0000
Al1 0.1661 0.8339 0.5000
Al2 0.8339 0.1661 0.5000
V1 0.5000 0.5000 0.5000
O1 0.0778 0.4261 0.2831
O2 0.2240 0.2240 0.7202
O3 0.4261 0.0778 0.2831
O4 0.5739 0.9222 0.7169
O5 0.7760 0.7760 0.2798
O6 0.9222 0.5739 0.7169

Largest 8 diffraction maxima, by angle, 5° ≤ 2θ ≤ 70°:
Position (°2θ)	I (rel.)
18.4	100
36.3	9
36.4	18
43.8	34
44.0	67
57.9	10
63.3	17
64.3	18

=====

(3)
Simulated powder X-ray diffraction pattern of CoCuO2 for Cu Kα (weighted mean of Kα1 and Kα2), from a GGA+U-relaxed structure.
Lines closer than 0.1° are merged.

Cell and atoms:
abc: 5.9027 5.9027 5.9027
angles: 28.12 28.12 28.12
Positions (direct):
Co1 0.0000 0.0000 0.0000
Cu1 0.5000 0.5000 0.5000
O1 0.3910 0.3910 0.3910
O2 0.6090 0.6090 0.6090

Largest 8 diffraction maxima, by angle, 5° ≤ 2θ ≤ 70°:
Position (°2θ)	I (rel.)
31.6	36
36.6	6
37.7	100
42.1	40
57.0	33
65.0	24
65.9	4
66.7	21

=====

(4)
Simulated powder X-ray diffraction pattern of Na2MgMn4O8 for Cu Kα (weighted mean of Kα1 and Kα2), from a GGA+U-relaxed structure.
Lines closer than 0.1° are merged.

Cell and atoms:
abc: 3.0210 6.3661 8.7257
angles: 94.71 90.21 91.77
Positions (direct):
Na1 0.0000 0.0000 0.0000
Na2 0.4817 0.2749 0.2684
Mg1 0.5041 0.2380 0.7450
Mn1 0.0011 0.4931 0.9940
Mn2 0.4828 0.7459 0.2436
Mn3 0.5031 0.7114 0.7267
Mn4 0.9966 0.9806 0.4962
O1 0.0008 0.9804 0.7199
O2 0.0050 0.4745 0.7602
O3 0.4581 0.7232 0.0051
O4 0.4843 0.7750 0.4804
O5 0.5070 0.1740 0.5112
O6 0.5408 0.2732 0.9831
O7 0.9774 0.5443 0.2237
O8 0.9913 0.9576 0.2705

Largest 8 diffraction maxima, by angle, 5° ≤ 2θ ≤ 70°:
Position (°2θ)	I (rel.)
14.0	50
16.6	100
18.0	42
33.6	35
36.4	41
40.6	89
41.5	83
42.0	82

=====

(5)
Simulated powder X-ray diffraction pattern of Li2VPO4F for Cu Kα (weighted mean of Kα1 and Kα2), from a GGA+U-relaxed structure.
Lines closer than 0.1° are merged.

Cell and atoms:
abc: 5.4233 5.4384 7.4482
angles: 106.94 106.76 95.27
Positions (direct):
Li1 0.0000 0.0000 0.0000
Li2 0.1342 0.4282 0.3180
Li3 0.4542 0.7760 0.3030
Li4 0.5926 0.7402 0.6760
V1 0.5818 0.2404 0.1463
V2 0.5898 0.2486 0.6555
P1 0.2084 0.5809 0.9100
P2 0.9609 0.8974 0.3864
O1 0.2380 0.3982 0.0412
O2 0.2590 0.9093 0.4899
O3 0.3270 0.8668 0.0624
O4 0.3542 0.5101 0.7590
O5 0.7966 0.9630 0.5276
O6 0.8458 0.6122 0.2446
O7 0.9146 0.5819 0.8086
O8 0.9330 0.0922 0.2656
F1 0.4967 0.4145 0.4202
F2 0.6706 0.0792 0.8809

Largest 8 diffraction maxima, by angle, 5° ≤ 2θ ≤ 70°:
Position (°2θ)	I (rel.)
17.4	28
25.2	22
25.9	38
26.5	100
27.0	61
36.2	20
42.6	20
51.7	18

=====

(6)
Simulated powder X-ray diffraction pattern of Co2OF3 for Cu Kα (weighted mean of Kα1 and Kα2), from a GGA+U-relaxed structure.
Lines closer than 0.1° are merged.

Cell and atoms:
abc: 7.1277 7.1277 6.8319
angles: 90.00 90.00 128.51
Positions (direct):
Co1 0.0000 0.0000 0.0000
Co2 0.0000 0.5000 0.0000
Co3 0.2395 0.7605 0.5000
Co4 0.2405 0.2405 0.5000
Co5 0.5000 0.0000 0.0000
Co6 0.5000 0.5000 0.0000
Co7 0.7595 0.7595 0.5000
Co8 0.7605 0.2395 0.5000
O1 0.0913 0.9087 0.5000
O2 0.3463 0.6537 0.0000
O3 0.6537 0.3463 0.0000
O4 0.9087 0.0913 0.5000
F1 0.0000 0.5000 0.3032
F2 0.0000 0.5000 0.6968
F3 0.1522 0.8478 0.0000
F4 0.2515 0.2515 0.1954
F5 0.2515 0.2515 0.8046
F6 0.4017 0.5983 0.5000
F7 0.5000 0.0000 0.3032
F8 0.5000 0.0000 0.6968
F9 0.5983 0.4017 0.5000
F10 0.7485 0.7485 0.1954
F11 0.7485 0.7485 0.8046
F12 0.8478 0.1522 0.0000

Largest 8 diffraction maxima, by angle, 5° ≤ 2θ ≤ 70°:
Position (°2θ)	I (rel.)
26.1	96
27.8	88
34.7	100
51.8	64
53.7	19
53.8	54
59.7	18
67.2	42